This entry pairs a crystal structure of LiFeF4 with its simulated powder X-ray diffraction pattern. Radiation: Cu Kα X-rays. Structure: a structure optimized by DFT (PBE+U).
Intensities are scaled so that the largest is 100.

Atomic structure:
Cell: 7.932 7.932 12.831 Å, 120.44 120.44 28.70°
Fractional positions:
Li  0.156  0.156  0.301
Li  0.298  0.298  0.844
Li  0.702  0.702  0.156
Li  0.844  0.844  0.699
Fe  0.366  0.366  0.351
Fe  0.470  0.470  0.133
Fe  0.530  0.530  0.867
Fe  0.634  0.634  0.649
F  0.007  0.007  0.845
F  0.145  0.145  0.673
F  0.229  0.229  0.201
F  0.296  0.296  0.435
F  0.334  0.334  0.008
F  0.379  0.379  0.752
F  0.441  0.441  0.263
F  0.500  0.500  0.000
F  0.500  0.500  0.500
F  0.559  0.559  0.737
F  0.621  0.621  0.248
F  0.666  0.666  0.992
F  0.704  0.704  0.565
F  0.771  0.771  0.799
F  0.855  0.855  0.327
F  0.993  0.993  0.155

Most intense lines, 2θ from 10° to 90°, sorted by position:
2θ (°), d (Å), I/Imax
13.5, 6.550, 23
14.7, 6.025, 28
16.2, 5.469, 19
19.1, 4.649, 71
20.8, 4.274, 52
23.6, 3.766, 100
25.3, 3.516, 44
26.1, 3.408, 29
45.1, 2.008, 22
46.2, 1.966, 35